DyZrSi: computed X-ray diffraction stick pattern (Cu Kα (weighted mean of Kα1 and Kα2)), based on the GGA-PBE geometry in OQMD.

Principal peaks in the range 10 to 80 degrees two-theta, low angle first:
2theta	Rel. int.	h k l
23.79	230	1 1 0
25.54	159	1 0 1
32.26	1000	1 1 1
35.18	614	2 0 1
36.71	507	2 1 0
43.74	193	0 0 2
50.82	157	3 1 0
55.78	333	3 1 1
58.39	260	2 1 2
66.90	175	3 2 1

Structure:
```
DyZrSi
1.0
7.4799 0.0000 0.0000
-3.7400 6.4778 0.0000
0.0000 0.0000 4.1388
Dy Zr Si
3 3 3
Cartesian
-2.2007 3.8117 0.0000
1.5393 2.6661 0.0000
4.4014 0.0000 0.0000
-0.9184 1.5907 2.0694
1.8367 0.0000 2.0694
2.8216 4.8872 2.0694
0.0000 0.0000 0.0000
0.0000 4.3185 2.0694
3.7400 2.1593 2.0694
```